1.
For Tb10Sb3Te3, a DFT-relaxed cell (PBE, Alexandria) gives the calculated X-ray diffraction stick pattern in this record (a wavelength of 1.5418 Å).
Intensities are scaled so that the largest is 100.

Atomic structure:
```
Tb10Sb3Te3
1.0
9.0517 0.0000 0.0000
-4.5259 7.8390 0.0000
0.0000 0.0000 6.2311
Tb Sb Te
10 3 3
direct
0.0000 0.2518 0.0000
0.0000 0.7482 0.5000
0.2518 0.0000 0.0000
0.2518 0.2518 0.5000
0.3333 0.6667 0.2519
0.3333 0.6667 0.7481
0.6667 0.3333 0.2519
0.6667 0.3333 0.7481
0.7482 0.0000 0.5000
0.7482 0.7482 0.0000
0.0000 0.3870 0.5000
0.3870 0.0000 0.5000
0.6130 0.6130 0.5000
0.0000 0.6140 0.0000
0.3860 0.3860 0.0000
0.6140 0.0000 0.0000
```

Most intense lines, 5° ≤ 2θ ≤ 70°, in order of rising 2θ:
2θ/deg  I_rel
28.7  17
30.2  33
30.9  18
33.5  100
34.3  61
35.0  89
49.8  24
53.0  16
53.9  26
55.4  16

***

2.
For Pm2Al2Ag, a DFT-relaxed cell (PBE, Alexandria) gives the calculated X-ray diffraction stick pattern in this record (a wavelength of 1.5418 Å).
Intensities are scaled so that the largest is 100.

Atomic structure:
```
Pm2Al2Ag
1.0
5.4436 -2.3219 0.0000
5.4436 2.3219 0.0000
-5.3011 0.0000 9.7276
Pm Al Ag
4 4 2
direct
0.0094 0.0094 0.3252
0.1861 0.1861 0.1056
0.8139 0.8139 0.8944
0.9906 0.9906 0.6748
0.3616 0.3616 0.4405
0.4828 0.4828 0.1119
0.5172 0.5172 0.8881
0.6384 0.6384 0.5595
0.2737 0.2737 0.6480
0.7263 0.7263 0.3520
```

Most intense lines, 5° ≤ 2θ ≤ 70°, in order of rising 2θ:
2θ/deg  I_rel
21.3  55
25.0  34
31.0  100
31.2  57
31.7  85
32.9  29
34.4  53
37.0  29
38.8  65
38.9  62

***

3.
For Er7Tm12Pu, a DFT-relaxed cell (PBE, Alexandria) gives the calculated X-ray diffraction stick pattern in this record (a wavelength of 1.5418 Å).
Intensities are scaled so that the largest is 100.

Atomic structure:
```
Er7Tm12Pu
1.0
-5.7708 5.7708 5.7708
5.7708 -5.7708 5.7708
5.7708 5.7708 -5.7708
Er Tm Pu
7 12 1
direct
0.0000 0.0000 0.5000
0.0000 0.5000 0.0000
0.0000 0.5000 0.5000
0.5000 0.0000 0.0000
0.5000 0.0000 0.5000
0.5000 0.5000 0.0000
0.5000 0.5000 0.5000
0.0867 0.7478 0.3389
0.2522 0.3389 0.5911
0.2522 0.6611 0.9133
0.3389 0.0867 0.7478
0.3389 0.5911 0.2522
0.4089 0.7478 0.6611
0.5911 0.2522 0.3389
0.6611 0.4089 0.7478
0.6611 0.9133 0.2522
0.7478 0.3389 0.0867
0.7478 0.6611 0.4089
0.9133 0.2522 0.6611
0.0000 0.0000 0.0000
```

Most intense lines, 5° ≤ 2θ ≤ 70°, in order of rising 2θ:
2θ/deg  I_rel
10.8  27
18.8  34
21.8  33
24.4  28
26.8  24
28.9  34
31.0  72
34.8  49
38.2  100
60.0  69

***

4.
For Nd3In7Pt4, a DFT-relaxed cell (PBE, Alexandria) gives the calculated X-ray diffraction stick pattern in this record (a wavelength of 1.5418 Å).
Intensities are scaled so that the largest is 100.

Atomic structure:
```
Nd3In7Pt4
1.0
8.4680 -2.2407 0.0000
8.4680 2.2407 0.0000
-5.8837 0.0000 8.4883
Nd In Pt
3 7 4
direct
0.0000 0.0000 0.0000
0.3074 0.3074 0.2982
0.6926 0.6926 0.7018
0.0000 0.0000 0.5000
0.1628 0.1628 0.4294
0.3172 0.3172 0.9720
0.4931 0.4931 0.7107
0.5069 0.5069 0.2893
0.6828 0.6828 0.0280
0.8372 0.8372 0.5706
0.1178 0.1178 0.8385
0.3394 0.3394 0.7329
0.6606 0.6606 0.2671
0.8822 0.8822 0.1615
```

Most intense lines, 5° ≤ 2θ ≤ 70°, in order of rising 2θ:
2θ/deg  I_rel
32.2  78
32.8  40
33.3  100
33.4  27
38.1  24
38.8  32
40.2  65
40.6  34
41.3  24
42.7  22

***

5.
For Ac2TmAsO8, a DFT-relaxed cell (PBE, Alexandria) gives the calculated X-ray diffraction stick pattern in this record (a wavelength of 1.5418 Å).
Intensities are scaled so that the largest is 100.

Atomic structure:
```
Ac2TmAsO8
1.0
5.6778 0.0000 0.0000
-2.8389 4.9171 0.0000
0.0000 0.0000 6.0883
Ac Tm As O
2 1 1 8
direct
0.3333 0.6667 0.3609
0.6667 0.3333 0.6391
0.0000 0.0000 0.0000
0.0000 0.0000 0.5000
0.1505 0.3010 0.6852
0.1505 0.8495 0.6852
0.3010 0.1505 0.3148
0.3333 0.6667 0.0098
0.6667 0.3333 0.9902
0.6990 0.8495 0.6852
0.8495 0.1505 0.3148
0.8495 0.6990 0.3148
```

Most intense lines, 5° ≤ 2θ ≤ 70°, in order of rising 2θ:
2θ/deg  I_rel
14.5  17
23.3  100
31.5  98
34.7  61
39.5  43
47.5  36
51.4  25
55.7  19
56.1  19
58.2  29

***

6.
For Cs3Na2SrBr6, a DFT-relaxed cell (PBE, Alexandria) gives the calculated X-ray diffraction stick pattern in this record (a wavelength of 1.5418 Å).
Intensities are scaled so that the largest is 100.

Atomic structure:
```
Cs3Na2SrBr6
1.0
8.4220 0.0000 0.0000
-4.2110 7.2937 0.0000
0.0000 0.0000 9.4505
Cs Na Sr Br
3 2 1 6
direct
0.0000 0.0000 0.0000
0.3333 0.6667 0.6150
0.6667 0.3333 0.3850
0.3333 0.6667 0.1551
0.6667 0.3333 0.8449
0.0000 0.0000 0.5000
0.1660 0.3320 0.3059
0.1660 0.8340 0.3059
0.3320 0.1660 0.6941
0.6680 0.8340 0.3059
0.8340 0.1660 0.6941
0.8340 0.6680 0.6941
```

Most intense lines, 5° ≤ 2θ ≤ 70°, in order of rising 2θ:
2θ/deg  I_rel
9.4  46
12.1  20
21.1  33
22.4  22
26.2  93
28.4  45
31.0  100
43.0  40
53.9  23
68.8  18

***

7.
For SrRuO3, a DFT-relaxed cell (PBE, Alexandria) gives the calculated X-ray diffraction stick pattern in this record (a wavelength of 1.5418 Å).
Intensities are scaled so that the largest is 100.

Atomic structure:
```
SrRuO3
1.0
5.5669 -4.5800 0.0000
5.5669 4.5800 0.0000
-0.6628 0.0000 5.7984
Sr Ru O
4 4 12
direct
0.1002 0.8998 0.7500
0.3448 0.6552 0.2500
0.6552 0.3448 0.7500
0.8998 0.1002 0.2500
0.1514 0.3649 0.8385
0.3649 0.1514 0.3385
0.6351 0.8486 0.6615
0.8486 0.6351 0.1615
0.0024 0.2333 0.6282
0.0672 0.6257 0.9308
0.2333 0.0024 0.1282
0.3119 0.3709 0.5659
0.3709 0.3119 0.0659
0.3743 0.9328 0.5692
0.6257 0.0672 0.4308
0.6291 0.6881 0.9341
0.6881 0.6291 0.4341
0.7667 0.9976 0.8718
0.9328 0.3743 0.0692
0.9976 0.7667 0.3718
```

Most intense lines, 5° ≤ 2θ ≤ 70°, in order of rising 2θ:
2θ/deg  I_rel
19.1  21
28.7  100
30.6  71
30.8  17
32.4  26
39.3  16
42.5  19
51.8  20
54.3  17
57.8  19

***

8.
For Sr2Ni2Ir, a DFT-relaxed cell (PBE, Alexandria) gives the calculated X-ray diffraction stick pattern in this record (a wavelength of 1.5418 Å).
Intensities are scaled so that the largest is 100.

Atomic structure:
```
Sr2Ni2Ir
1.0
4.8138 -2.8691 0.0000
4.8138 2.8691 0.0000
-1.5223 0.0000 8.0868
Sr Ni Ir
4 4 2
direct
0.0484 0.2610 0.1580
0.2610 0.0484 0.6580
0.7390 0.9516 0.3420
0.9516 0.7390 0.8420
0.2853 0.5031 0.4981
0.4969 0.7147 0.0019
0.5031 0.2853 0.9981
0.7147 0.4969 0.5019
0.4078 0.5922 0.2500
0.5922 0.4078 0.7500
```

Most intense lines, 5° ≤ 2θ ≤ 70°, in order of rising 2θ:
2θ/deg  I_rel
18.1  100
18.8  43
31.7  41
32.4  75
33.1  90
36.0  46
36.3  55
36.5  43
39.4  61
46.9  47